# 1
# ZrTaGa3
Computed XRD peak list, Cu Kα X-rays. Input: a GGA-PBE-relaxed structure.
Intensities are scaled so that the largest is 100.

Structure:
```
5
Lattice="-1.8889 1.8889 6.4882 1.8889 -1.8889 6.4882 1.8889 1.8889 -6.4882" Properties=species:S:1:pos:R:3 pbc="T T T"
Zr 0.0000 0.0000 0.0000
Ta 0.0000 0.0000 8.1753
Ga 1.8889 0.0000 3.6702
Ga 0.0000 0.0000 5.5470
Ga 0.0000 1.8889 3.6702
```

Most intense lines, 10 to 90 degrees two-theta, by angle:
two_theta  I/Imax
24.54  50
31.44  71
36.37  100
42.25  66
43.91  48
48.18  54

***

# 2
# TbGa5
Computed XRD peak list, Cu Kα X-rays. Input: a GGA-PBE-relaxed structure.
Intensities are scaled so that the largest is 100.

Structure:
```
6
Lattice="-2.1069 3.1350 4.4252 2.1069 -3.1350 4.4252 2.1069 3.1350 -4.4252" Properties=species:S:1:pos:R:3 pbc="T T T"
Tb 0.0000 0.0000 0.0000
Ga 2.1069 1.7548 -1.4446
Ga 2.1069 1.7548 1.4446
Ga 0.0000 3.1350 0.0000
Ga 0.0000 1.3802 2.9806
Ga 0.0000 1.3802 5.8698
```

Most intense lines, 10 to 90 degrees two-theta, by angle:
two_theta  I/Imax
35.08  27
37.18  100
42.93  17
50.49  11
56.59  13
74.86  12

***

# 3
# Tb4Ga3
Computed XRD peak list, Cu Kα X-rays. Input: a GGA-PBE-relaxed structure.
Intensities are scaled so that the largest is 100.

Structure:
```
14
Lattice="6.8018 3.9270 2.1324 -6.8018 3.9270 2.1324 0.0000 -7.8540 2.1324" Properties=species:S:1:pos:R:3 pbc="T T T"
Tb 0.0000 0.0000 0.0000
Tb -3.6932 -3.2817 3.1423
Tb -4.6886 1.5575 3.2550
Tb 0.9954 -4.8392 3.2550
Tb 0.0000 0.0000 3.1986
Tb -0.9954 4.8392 3.1423
Tb 4.6886 -1.5575 3.1423
Tb 3.6932 3.2817 3.2550
Ga -0.8491 -2.6066 1.9013
Ga -1.8328 2.0386 1.9013
Ga -2.6819 -0.5679 4.4959
Ga 2.6819 0.5679 1.9013
Ga 1.8328 -2.0386 4.4959
Ga 0.8491 2.6066 4.4959
```

Most intense lines, 10 to 90 degrees two-theta, by angle:
two_theta  I/Imax
24.36  24
34.53  100
34.90  93
49.91  31
61.62  15
62.34  28

***

# 4
# Tb5Ga4
Computed XRD peak list, Cu Kα X-rays. Input: a GGA-PBE-relaxed structure.
Intensities are scaled so that the largest is 100.

Structure:
```
9
Lattice="5.4754 -2.2282 0.0000 5.4754 2.2282 0.0000 -3.9408 0.0000 9.2698" Properties=species:S:1:pos:R:3 pbc="T T T"
Tb 0.0000 0.0000 0.0000
Tb -0.4238 0.0000 3.6305
Tb -0.5864 0.0000 7.6502
Tb 7.5963 0.0000 1.6197
Tb 7.4338 0.0000 5.6393
Ga 2.6612 0.0000 3.6140
Ga 4.2708 0.0000 1.5507
Ga 2.7392 0.0000 7.7191
Ga 4.3488 0.0000 5.6559
```

Most intense lines, 10 to 90 degrees two-theta, by angle:
two_theta  I/Imax
31.44  100
31.70  100
32.99  38
33.51  63
36.88  41
40.48  52

***

# 5
# Tb3Ga
Computed XRD peak list, Cu Kα X-rays. Input: a GGA-PBE-relaxed structure.
Intensities are scaled so that the largest is 100.

Structure:
```
16
Lattice="-6.0616 6.0616 3.0631 6.0616 -6.0616 3.0631 6.0616 6.0616 -3.0631" Properties=species:S:1:pos:R:3 pbc="T T T"
Tb 7.0189 1.4324 0.0510
Tb 5.5868 4.4255 -1.4071
Tb 3.4322 2.0570 -0.0333
Tb 4.0046 -2.6295 3.0963
Tb 0.4748 1.6361 1.6559
Tb 1.4324 5.1043 -0.0510
Tb 4.6292 0.9573 3.0121
Tb 1.6361 -0.4748 4.4702
Tb 2.0570 8.6911 0.0333
Tb 4.4255 6.5365 1.4071
Tb 2.6295 4.0046 3.0298
Tb -0.9573 4.6292 3.1141
Ga 2.4358 -0.6334 1.4252
Ga 3.6258 6.6950 -1.6378
Ga 5.4282 3.6258 1.6378
Ga 0.6334 2.4358 4.7009
```

Most intense lines, 10 to 90 degrees two-theta, by angle:
two_theta  I/Imax
30.32  100
31.00  62
31.30  25
33.04  48
33.81  86
37.59  47

***

# 6
# TbGaTe4
Computed XRD peak list, Cu Kα X-rays. Input: a GGA-PBE-relaxed structure.
Intensities are scaled so that the largest is 100.

Structure:
```
12
Lattice="6.1532 0.0000 0.0000 0.0000 9.7222 0.0000 -2.4513 0.0000 7.0279" Properties=species:S:1:pos:R:3 pbc="T T T"
Tb 0.0891 2.4306 1.5508
Tb 3.6128 7.2917 5.4771
Ga -0.1467 7.2917 2.2399
Ga 3.8487 2.4306 4.7879
Te 1.1415 5.3554 0.7722
Te 1.1415 9.2279 0.7722
Te 0.2872 2.4306 4.6348
Te 0.4471 7.2917 4.7534
Te 3.2548 2.4306 2.2744
Te 3.4147 7.2917 2.3931
Te 2.5604 0.4943 6.2556
Te 2.5604 4.3668 6.2556
```

Most intense lines, 10 to 90 degrees two-theta, by angle:
two_theta  I/Imax
18.25  59
22.24  74
24.92  42
31.41  51
33.88  44
34.60  100

***

# 7
# TbThGa6
Computed XRD peak list, Cu Kα X-rays. Input: a GGA-PBE-relaxed structure.
Intensities are scaled so that the largest is 100.

Structure:
```
8
Lattice="6.3758 0.0000 0.0000 -3.1879 5.5216 0.0000 0.0000 0.0000 4.6201" Properties=species:S:1:pos:R:3 pbc="T T T"
Tb 0.0000 0.0000 0.0000
Th 3.1879 1.8405 2.3100
Ga -1.3626 2.8943 0.0000
Ga 0.0000 2.0612 2.3100
Ga -1.4029 4.4910 2.3100
Ga 1.3626 2.8943 0.0000
Ga 0.0000 5.2545 0.0000
Ga 1.4029 4.4910 2.3100
```

Most intense lines, 10 to 90 degrees two-theta, by angle:
two_theta  I/Imax
25.13  36
32.43  26
37.97  100
38.99  22
69.95  16
71.98  17

***

# 8
# Tb2ThZn2Ga2
Computed XRD peak list, Cu Kα X-rays. Input: a GGA-PBE-relaxed structure.
Intensities are scaled so that the largest is 100.

Structure:
```
7
Lattice="2.2017 1.2712 9.6791 -2.2017 1.2712 9.6791 0.0000 -2.5423 9.6791" Properties=species:S:1:pos:R:3 pbc="T T T"
Tb 0.0000 0.0000 3.7113
Tb 0.0000 0.0000 25.3261
Th 0.0000 0.0000 0.0000
Zn 0.0000 0.0000 11.5958
Zn 0.0000 0.0000 17.4416
Ga 0.0000 0.0000 7.5370
Ga 0.0000 0.0000 21.5004
```

Most intense lines, 10 to 90 degrees two-theta, by angle:
two_theta  I/Imax
23.53  50
31.88  77
34.10  100
40.99  81
54.35  27
64.05  36